No. 1
The following is a calculated X-ray powder pattern of Pm7Ge2Br2. It was derived from a cell relaxed with PBE, using Cu Ka.
Intensities are scaled so that the largest is 100.

Main lines, by angle (15 to 90 degrees two-theta):
two_theta	I/Imax
26.2	39
26.5	24
27.8	52
28.7	36
32.0	23
32.5	100
32.9	21
38.8	36
40.4	19
48.0	29

Atomic structure:
```
data_Pm7Ge2Br2
_chemical_formula_sum 'Pm7 Ge2 Br2'
_cell_length_a 7.6948
_cell_length_b 7.6948
_cell_length_c 7.0901
_cell_angle_alpha 100.01
_cell_angle_beta 100.01
_cell_angle_gamma 113.14
_space_group_name_H-M_alt 'P 1'
_space_group_IT_number 1
_space_group_name_Hall 'P 1'
loop_
_atom_site_label
_atom_site_type_symbol
_atom_site_fract_x
_atom_site_fract_y
_atom_site_fract_z
_atom_site_occupancy
Pm1 Pm 0.0000 0.0000 0.0000 1
Pm2 Pm 0.0767 0.5233 0.7777 1
Pm3 Pm 0.4075 0.4075 0.1997 1
Pm4 Pm 0.4767 0.9233 0.2223 1
Pm5 Pm 0.5233 0.0767 0.7777 1
Pm6 Pm 0.5925 0.5925 0.8003 1
Pm7 Pm 0.9233 0.4767 0.2223 1
Ge1 Ge 0.3244 0.6756 0.5000 1
Ge2 Ge 0.6756 0.3244 0.5000 1
Br1 Br 0.2156 0.2156 0.7458 1
Br2 Br 0.7844 0.7844 0.2542 1
```

=====

No. 2
The following is a calculated X-ray powder pattern of Sr3TaAs3O. It was derived from a cell relaxed with PBE, using Cu Ka.
Intensities are scaled so that the largest is 100.

Main lines, by angle (15 to 90 degrees two-theta):
two_theta	I/Imax
17.4	54
25.7	44
27.3	59
27.7	100
33.2	48
38.1	40
39.2	52
42.8	58
43.8	28
51.7	33

Atomic structure:
```
data_Sr3TaAs3O
_chemical_formula_sum 'Sr12 Ta4 As12 O4'
_cell_length_a 6.4519
_cell_length_b 10.7863
_cell_length_c 13.0796
_cell_angle_alpha 90.00
_cell_angle_beta 90.00
_cell_angle_gamma 90.00
_space_group_name_H-M_alt 'P 1'
_space_group_IT_number 1
_space_group_name_Hall 'P 1'
loop_
_atom_site_label
_atom_site_type_symbol
_atom_site_fract_x
_atom_site_fract_y
_atom_site_fract_z
_atom_site_occupancy
Sr1 Sr 0.2323 0.2500 0.1287 1
Sr2 Sr 0.2456 0.5429 0.3719 1
Sr3 Sr 0.2456 0.9571 0.3719 1
Sr4 Sr 0.2544 0.0429 0.8719 1
Sr5 Sr 0.2544 0.4571 0.8719 1
Sr6 Sr 0.2677 0.7500 0.6287 1
Sr7 Sr 0.7323 0.2500 0.3713 1
Sr8 Sr 0.7456 0.5429 0.1281 1
Sr9 Sr 0.7456 0.9571 0.1281 1
Sr10 Sr 0.7544 0.0429 0.6281 1
Sr11 Sr 0.7544 0.4571 0.6281 1
Sr12 Sr 0.7677 0.7500 0.8713 1
Ta1 Ta 0.1581 0.2500 0.5483 1
Ta2 Ta 0.3419 0.7500 0.0483 1
Ta3 Ta 0.6581 0.2500 0.9517 1
Ta4 Ta 0.8419 0.7500 0.4517 1
As1 As 0.2364 0.2500 0.3638 1
As2 As 0.2368 0.5485 0.1237 1
As3 As 0.2368 0.9515 0.1237 1
As4 As 0.2632 0.0485 0.6237 1
As5 As 0.2632 0.4515 0.6237 1
As6 As 0.2636 0.7500 0.8638 1
As7 As 0.7365 0.2500 0.1362 1
As8 As 0.7368 0.5485 0.3763 1
As9 As 0.7368 0.9515 0.3763 1
As10 As 0.7632 0.0485 0.8763 1
As11 As 0.7632 0.4515 0.8763 1
As12 As 0.7635 0.7500 0.6362 1
O1 O 0.1347 0.7500 0.4455 1
O2 O 0.3653 0.2500 0.9455 1
O3 O 0.6347 0.7500 0.0545 1
O4 O 0.8653 0.2500 0.5545 1
```